(1)
Calculated powder diffraction line list
Compound: TbSmAlSi
Radiation: Cu Kα
Structure: a crystal structure in Alexandria, relaxed with GGA-PBE
Intensities are scaled so that the largest is 100.

Top 12 peaks for 2θ = 15–90°, sorted by position:
21.8°, 4.079 Å, I = 35; 27.4°, 3.249 Å, I = 66; 31.2°, 2.864 Å, I = 100; 31.8°, 2.818 Å, I = 56; 32.5°, 2.756 Å, I = 28; 39.0°, 2.308 Å, I = 30; 41.1°, 2.195 Å, I = 22; 45.1°, 2.011 Å, I = 17; 50.2°, 1.819 Å, I = 26; 51.7°, 1.769 Å, I = 23; 56.2°, 1.637 Å, I = 22; 62.7°, 1.483 Å, I = 26

Structure:
a b c (Å): 4.023 4.391 11.022
angles (deg): 90.00 90.00 90.00
Space group Amm2 (No. 38)
Unique sites:
Tb  0.000  0.000  0.000 (multiplicity 2)
Sm  0.500  0.000  0.717 (multiplicity 2)
Al  0.000  0.000  0.291 (multiplicity 2)
Si  0.500  0.000  0.434 (multiplicity 2)

---

(2)
Calculated powder diffraction line list
Compound: RbLiInO2
Radiation: Cu Kα
Structure: a crystal structure in Alexandria, relaxed with GGA-PBE
Intensities are scaled so that the largest is 100.

Top 12 peaks for 2θ = 15–90°, sorted by position:
17.1°, 5.193 Å, I = 87; 21.9°, 4.057 Å, I = 100; 23.2°, 3.830 Å, I = 59; 27.4°, 3.251 Å, I = 74; 30.4°, 2.943 Å, I = 91; 31.5°, 2.836 Å, I = 95; 36.1°, 2.489 Å, I = 53; 37.3°, 2.411 Å, I = 68; 43.6°, 2.075 Å, I = 38; 45.3°, 2.003 Å, I = 64; 51.1°, 1.786 Å, I = 37; 53.7°, 1.706 Å, I = 41

Structure:
a b c (Å): 6.304 13.003 5.193
angles (deg): 90.00 90.00 90.00
Space group Cmme (No. 67)
Unique sites:
Rb  0.000  0.250  0.245 (multiplicity 4)
Li  0.000  0.000  0.000 (multiplicity 4)
In  0.250  0.000  0.500 (multiplicity 4)
O  0.000  0.086  0.714 (multiplicity 8)

---

(3)
Calculated powder diffraction line list
Compound: Ho8Te3AsS3
Radiation: Cu Kα
Structure: a crystal structure in Alexandria, relaxed with GGA-PBE
Intensities are scaled so that the largest is 100.

Top 12 peaks for 2θ = 15–90°, sorted by position:
25.9°, 3.439 Å, I = 10; 27.0°, 3.308 Å, I = 23; 30.9°, 2.891 Å, I = 100; 33.6°, 2.665 Å, I = 12; 43.7°, 2.073 Å, I = 31; 45.0°, 2.016 Å, I = 38; 55.6°, 1.654 Å, I = 19; 61.2°, 1.513 Å, I = 10; 64.5°, 1.445 Å, I = 16; 72.3°, 1.308 Å, I = 9; 74.2°, 1.279 Å, I = 17; 82.0°, 1.175 Å, I = 13

Structure:
a b c (Å): 8.0659 8.0659 20.6102
angles (deg): 90.00 90.00 120.00
Space group R-3m (No. 166, hexagonal axes)
Unique sites:
Ho  0.0000  0.0000  0.2335 (multiplicity 6)
Ho  0.0111  0.5056  0.7612 (multiplicity 18)
Te  0.0000  0.5000  0.0000 (multiplicity 9)
As  0.0000  0.0000  0.5000 (multiplicity 3)
S  0.0000  0.5000  0.5000 (multiplicity 9)

---

(4)
Calculated powder diffraction line list
Compound: PaInF5
Radiation: Cu Kα
Structure: a crystal structure in Alexandria, relaxed with GGA-PBE
Intensities are scaled so that the largest is 100.

Top 12 peaks for 2θ = 15–90°, sorted by position:
19.0°, 4.671 Å, I = 82; 21.8°, 4.077 Å, I = 56; 23.0°, 3.861 Å, I = 100; 27.1°, 3.290 Å, I = 46; 29.1°, 3.072 Å, I = 33; 32.7°, 2.738 Å, I = 27; 38.5°, 2.336 Å, I = 20; 39.0°, 2.310 Å, I = 28; 41.3°, 2.186 Å, I = 20; 41.7°, 2.168 Å, I = 27; 47.1°, 1.931 Å, I = 17; 47.5°, 1.914 Å, I = 15

Structure:
a b c (Å): 6.993 7.004 8.432
angles (deg): 103.08 109.61 108.74
Space group P-1 (No. 2)
Unique sites:
Pa  0.000  0.000  0.000 (multiplicity 1)
Pa  0.500  0.000  0.500 (multiplicity 1)
In  0.247  0.497  0.750 (multiplicity 2)
F  0.076  0.778  0.838 (multiplicity 2)
F  0.171  0.749  0.434 (multiplicity 2)
F  0.185  0.264  0.935 (multiplicity 2)
F  0.323  0.073  0.250 (multiplicity 2)
F  0.436  0.235  0.661 (multiplicity 2)